[1]
Computed X-ray powder pattern of K3RuCl7 for Cu Ka, from DFT lattice parameters and positions (GGA-PBE).
Lines closer than 0.1° are merged.

Most intense lines, 2θ = 5–70°, sorted by position:
2θ 11.77, rel. 60.8, (0 0 1)
2θ 13.47, rel. 100.0, (1 1 0)
2θ 16.09, rel. 49.8, (1 1 -1)
2θ 19.59, rel. 39.5, (1 1 1)
2θ 21.70, rel. 53.3, (0 2 1)
2θ 26.73, rel. 65.0, (2 0 -2)
2θ 31.77, rel. 78.3, (2 2 1)
2θ 32.60, rel. 49.7, (1 3 1)

Structure:
```
data_K3RuCl7
_space_group_name_H-M_alt 'C 1 m 1'
_space_group_IT_number 8
_cell_length_a 9.207
_cell_length_b 9.767
_cell_length_c 7.796
_cell_angle_alpha 90.00
_cell_angle_beta 105.24
_cell_angle_gamma 90.00
loop_
_space_group_symop_operation_xyz
'x,y,z'
'x,-y,z'
'x+1/2,y+1/2,z'
'x+1/2,-y+1/2,z'
loop_
_atom_site_label
_atom_site_fract_x
_atom_site_fract_y
_atom_site_fract_z
K1 0.000 0.000 0.000
K2 0.473 0.223 0.445
Ru1 0.018 0.500 0.951
Cl1 0.100 0.000 0.405
Cl2 0.163 0.500 0.736
Cl3 0.174 0.331 0.123
Cl4 0.366 0.174 0.792
Cl5 0.367 0.000 0.152
```

---

[2]
Computed X-ray powder pattern of KTlRuCl6 for Cu Ka, from DFT lattice parameters and positions (GGA-PBE).
Lines closer than 0.1° are merged.

Most intense lines, 2θ = 5–70°, sorted by position:
2θ 13.88, rel. 28.7, (1 0 0)
2θ 19.87, rel. 100.0, (1 0 1)
2θ 24.17, rel. 25.9, (1 1 0)
2θ 28.11, rel. 15.1, (2 -1 1)
2θ 31.48, rel. 28.3, (2 0 1)
2θ 37.70, rel. 42.5, (1 1 2)
2θ 40.08, rel. 36.0, (2 1 1)
2θ 42.52, rel. 16.4, (3 0 0)

Structure:
```
data_KTlRuCl6
_space_group_name_H-M_alt 'P 3 1 2'
_space_group_IT_number 149
_cell_length_a 7.3647
_cell_length_b 7.3647
_cell_length_c 6.2649
_cell_angle_alpha 90.00
_cell_angle_beta 90.00
_cell_angle_gamma 120.00
loop_
_space_group_symop_operation_xyz
'x,y,z'
'-y,x-y,z'
'-x+y,-x,z'
'-y,-x,-z'
'-x+y,y,-z'
'x,x-y,-z'
loop_
_atom_site_label
_atom_site_fract_x
_atom_site_fract_y
_atom_site_fract_z
K1 0.0000 0.0000 0.0000
Tl1 0.3333 0.6667 0.5000
Ru1 0.6667 0.3333 0.0000
Cl1 0.4074 0.0725 0.7804
```

---

[3]
Computed X-ray powder pattern of KSCl4 for Cu Ka, from DFT lattice parameters and positions (GGA-PBE).
Lines closer than 0.1° are merged.

Most intense lines, 2θ = 5–70°, sorted by position:
2θ 17.63, rel. 100.0, (1 0 -1)
2θ 18.35, rel. 69.9, (0 2 0)
2θ 21.39, rel. 35.1, (0 2 1)
2θ 21.90, rel. 27.3, (0 0 2)
2θ 24.00, rel. 24.1, (1 2 0)
2θ 31.48, rel. 48.0, (2 0 -1)
2θ 34.38, rel. 67.4, (1 3 1)
2θ 35.57, rel. 29.7, (0 3 2)

Structure:
```
data_KSCl4
_space_group_name_H-M_alt 'P 1 21/m 1'
_space_group_IT_number 11
_cell_length_a 5.827
_cell_length_b 9.669
_cell_length_c 8.188
_cell_angle_alpha 90.00
_cell_angle_beta 97.60
_cell_angle_gamma 90.00
loop_
_space_group_symop_operation_xyz
'x,y,z'
'-x,-y,-z'
'-x,y+1/2,-z'
'x,-y+1/2,z'
loop_
_atom_site_label
_atom_site_fract_x
_atom_site_fract_y
_atom_site_fract_z
K1 0.102 0.250 0.177
S1 0.270 0.750 0.355
Cl1 0.096 0.576 0.136
Cl2 0.365 0.750 0.642
Cl3 0.409 0.250 0.705
```

---

[4]
Computed X-ray powder pattern of K3SCl6 for Cu Ka, from DFT lattice parameters and positions (GGA-PBE).
Lines closer than 0.1° are merged.

Most intense lines, 2θ = 5–70°, sorted by position:
2θ 21.83, rel. 69.9, (1 1 1)
2θ 24.42, rel. 48.8, (1 0 2)
2θ 27.14, rel. 78.0, (2 1 -1)
2θ 27.68, rel. 66.4, (1 0 -4)
2θ 29.06, rel. 57.2, (0 2 2)
2θ 30.97, rel. 59.1, (0 0 4)
2θ 34.67, rel. 100.0, (2 2 -2)
2θ 36.52, rel. 48.4, (2 0 2)

Structure:
```
data_K3SCl6
_space_group_name_H-M_alt 'P 1 21/c 1'
_space_group_IT_number 14
_cell_length_a 7.472
_cell_length_b 7.253
_cell_length_c 12.893
_cell_angle_alpha 90.00
_cell_angle_beta 116.38
_cell_angle_gamma 90.00
loop_
_space_group_symop_operation_xyz
'x,y,z'
'-x,-y,-z'
'-x,y+1/2,-z+1/2'
'x,-y+1/2,z+1/2'
loop_
_atom_site_label
_atom_site_fract_x
_atom_site_fract_y
_atom_site_fract_z
K1 0.000 0.000 0.000
K2 0.278 0.070 0.769
S1 0.500 0.000 0.500
Cl1 0.150 0.020 0.261
Cl2 0.320 0.674 0.073
Cl3 0.394 0.231 0.054
```